Entry 1:
Theoretical XRD peak list of Ba3ZnHg10 for a wavelength of 1.5418 Å, from DFT lattice parameters and positions (PBE).

Peak list (10 most intense, 2θ = 10–90°, in order of rising 2θ)
(hkl)  2θ/deg  I/Imax
2 1 1  28.75  44
0 2 2  29.17  43
1 0 2  30.07  56
0 6 0  30.73  42
0 3 2  31.39  25
1 5 1  31.59  22
2 3 1  32.26  62
2 4 1  35.09  100
0 0 3  41.41  22
2 6 3  58.80  27

Structural model:
```
data_Ba3ZnHg10
_space_group_name_H-M_alt 'P m m 2'
_space_group_IT_number 25
_cell_length_a 7.207
_cell_length_b 17.457
_cell_length_c 6.538
_cell_angle_alpha 90.00
_cell_angle_beta 90.00
_cell_angle_gamma 90.00
loop_
_space_group_symop_operation_xyz
'x,y,z'
'-x,-y,z'
'-x,y,z'
'x,-y,z'
loop_
_atom_site_label
_atom_site_fract_x
_atom_site_fract_y
_atom_site_fract_z
Ba1 0.000 0.000 0.000
Ba2 0.000 0.316 0.610
Ba3 0.500 0.177 0.257
Ba4 0.500 0.500 0.873
Zn1 0.000 0.112 0.464
Hg1 0.000 0.198 0.114
Hg2 0.000 0.500 0.896
Hg3 0.205 0.500 0.407
Hg4 0.211 0.354 0.095
Hg5 0.273 0.142 0.762
Hg6 0.287 0.000 0.452
Hg7 0.500 0.000 0.949
Hg8 0.500 0.290 0.799
Hg9 0.500 0.377 0.420
```

Entry 2:
Theoretical XRD peak list of TbPm4Sn4 for a wavelength of 1.5418 Å, from DFT lattice parameters and positions (PBE).

Peak list (10 most intense, 2θ = 10–90°, in order of rising 2θ)
(hkl)  2θ/deg  I/Imax
2 1 1  25.08  19
1 0 2  29.43  42
1 3 0  29.61  100
1 2 2  35.04  45
4 2 0  42.37  33
2 3 2  44.42  33
4 1 2  48.54  25
2 5 2  59.64  16
1 3 4  66.08  15
7 1 0  69.64  22

Structural model:
```
data_TbPm4Sn4
_space_group_name_H-M_alt 'P 42/n'
_space_group_IT_number 86
_cell_length_a 9.541
_cell_length_b 9.541
_cell_length_c 6.403
_cell_angle_alpha 90.00
_cell_angle_beta 90.00
_cell_angle_gamma 90.00
loop_
_space_group_symop_operation_xyz
'x,y,z'
'-x,-y,-z'
'-y,x+1/2,z+1/2'
'y,-x+1/2,-z+1/2'
'-x+1/2,-y+1/2,z'
'x+1/2,y+1/2,-z'
'y+1/2,-x,z+1/2'
'-y+1/2,x,-z+1/2'
loop_
_atom_site_label
_atom_site_fract_x
_atom_site_fract_y
_atom_site_fract_z
Tb1 0.250 0.250 0.250
Pm1 0.041 0.667 0.120
Sn1 0.025 0.641 0.615
```

Entry 3:
Theoretical XRD peak list of NpGe3Pt2 for a wavelength of 1.5418 Å, from DFT lattice parameters and positions (PBE).

Peak list (10 most intense, 2θ = 10–90°, in order of rising 2θ)
(hkl)  2θ/deg  I/Imax
0 1 0  13.64  30
0 2 2  27.48  39
1 0 2  28.03  52
1 2 1  32.25  100
1 1 -1  35.26  91
1 2 3  37.33  72
0 0 3  39.45  35
2 0 1  40.66  68
1 3 1  44.17  59
1 3 -2  70.26  40

Structural model:
```
data_NpGe3Pt2
_space_group_name_H-M_alt 'P -1'
_space_group_IT_number 2
_cell_length_a 4.438
_cell_length_b 7.369
_cell_length_c 8.090
_cell_angle_alpha 62.91
_cell_angle_beta 74.10
_cell_angle_gamma 90.00
loop_
_space_group_symop_operation_xyz
'x,y,z'
'-x,-y,-z'
loop_
_atom_site_label
_atom_site_fract_x
_atom_site_fract_y
_atom_site_fract_z
Np1 0.135 0.135 0.230
Ge1 0.000 0.339 0.500
Ge2 0.327 0.121 0.846
Ge3 0.327 0.532 0.847
Pt1 0.197 0.697 0.107
Pt2 0.500 0.185 0.500
```